The following is a simulated XRD peak list of IrSeBr2. It was derived from DFT lattice parameters and positions (GGA-PBE), using Cu Kα (weighted mean of Kα1 and Kα2).

Most intense lines, 2θ from 15° to 90°, in order of rising 2θ:
2θ/deg	intensity
17.54	100
31.80	42
32.42	47
32.73	36
35.50	18
40.30	42
42.17	27
46.28	29
51.14	18
54.38	27

Atomic structure:
```
IrSeBr2
1.0
-1.827 2.736 6.615
1.827 -2.736 6.615
1.827 2.736 -6.615
Ir Se Br
1 1 2
Direct
0.000 0.000 0.000
0.116 0.616 0.500
0.581 0.581 0.000
0.866 0.366 0.500
```

---

The following is a simulated XRD peak list of Sm3IrBr3. It was derived from DFT lattice parameters and positions (GGA-PBE), using Cu Kα (weighted mean of Kα1 and Kα2).

Most intense lines, 2θ from 15° to 90°, in order of rising 2θ:
2θ/deg	intensity
29.48	100
30.49	23
31.42	17
32.90	12
37.30	11
37.58	17
37.88	10
41.94	41
42.95	21
52.95	15

Atomic structure:
```
Sm3IrBr3
1.0
8.726 0.000 0.000
0.000 4.212 0.000
-0.200 0.000 12.118
Sm Ir Br
6 2 6
Direct
0.098 0.250 0.329
0.148 0.250 0.863
0.271 0.750 0.100
0.729 0.250 0.900
0.852 0.750 0.137
0.902 0.750 0.671
0.056 0.250 0.098
0.944 0.750 0.902
0.133 0.250 0.600
0.337 0.750 0.352
0.433 0.750 0.871
0.567 0.250 0.129
0.663 0.250 0.648
0.867 0.750 0.400
```

---

The following is a simulated XRD peak list of Ta2IrBr. It was derived from DFT lattice parameters and positions (GGA-PBE), using Cu Kα (weighted mean of Kα1 and Kα2).

Most intense lines, 2θ from 15° to 90°, in order of rising 2θ:
2θ/deg	intensity
34.98	100
39.38	36
39.60	49
41.56	57
44.93	25
48.58	39
50.67	22
72.82	24
74.47	23
77.67	25

Atomic structure:
```
Ta2IrBr
1.0
2.936 0.000 0.000
0.000 3.603 0.000
0.000 0.000 7.305
Ta Ir Br
2 1 1
Direct
0.000 0.000 0.201
0.000 0.000 0.799
0.500 0.500 0.000
0.000 0.500 0.500
```

---

The following is a simulated XRD peak list of TeIrBr3. It was derived from DFT lattice parameters and positions (GGA-PBE), using Cu Kα (weighted mean of Kα1 and Kα2).

Most intense lines, 2θ from 15° to 90°, in order of rising 2θ:
2θ/deg	intensity
17.41	100
24.98	37
27.80	32
30.80	72
31.18	30
31.99	34
33.59	76
37.71	30
39.16	46
43.88	35

Atomic structure:
```
TeIrBr3
1.0
7.354 0.000 0.000
0.000 8.604 0.000
-0.228 0.000 12.735
Te Ir Br
4 4 12
Direct
0.046 0.074 0.149
0.046 0.926 0.649
0.954 0.074 0.351
0.954 0.926 0.851
0.061 0.361 0.112
0.061 0.639 0.612
0.939 0.361 0.388
0.939 0.639 0.888
0.115 0.350 0.559
0.115 0.650 0.059
0.221 0.420 0.283
0.221 0.580 0.783
0.341 0.270 0.020
0.341 0.730 0.520
0.659 0.270 0.480
0.659 0.730 0.980
0.779 0.420 0.217
0.779 0.580 0.717
0.885 0.350 0.941
0.885 0.650 0.441
```

---

The following is a simulated XRD peak list of Te2IrBr. It was derived from DFT lattice parameters and positions (GGA-PBE), using Cu Kα (weighted mean of Kα1 and Kα2).

Most intense lines, 2θ from 15° to 90°, in order of rising 2θ:
2θ/deg	intensity
30.45	100
31.54	68
35.66	15
36.90	30
42.94	15
43.50	14
45.24	22
45.53	15
45.89	21
50.51	19

Atomic structure:
```
Te2IrBr
1.0
4.086 0.000 0.000
0.804 6.440 0.000
1.564 2.865 7.876
Te Ir Br
4 2 2
Direct
0.183 0.021 0.160
0.243 0.506 0.797
0.757 0.494 0.203
0.817 0.979 0.840
0.306 0.709 0.009
0.694 0.291 0.991
0.274 0.236 0.530
0.726 0.764 0.470
```